# 1
This entry pairs a crystal structure of CsRb2P2Au3 with its calculated powder XRD pattern. Radiation: Cu Ka. Structure: a cell relaxed with PBE.

Peak list (10 most intense, 2θ = 10–80°, in order of rising 2θ)
13.20 deg, I 100; 16.20 deg, I 32; 27.15 deg, I 83; 30.31 deg, I 49; 31.79 deg, I 71; 32.73 deg, I 97; 36.30 deg, I 62; 47.99 deg, I 33; 48.31 deg, I 33; 56.01 deg, I 61

Structural model:
a = 7.7046 Å, b = 7.7046 Å, c = 7.7046 Å
α = 50.44°, β = 50.44°, γ = 50.44°
Atoms (fractional coordinates):
1 Cs 0.0000 0.0000 0.0000
2 Rb 0.4110 0.4110 0.4110
3 Rb 0.5890 0.5890 0.5890
4 P 0.2411 0.2411 0.2411
5 P 0.7589 0.7589 0.7589
6 Au 0.0000 0.0000 0.5000
7 Au 0.0000 0.5000 0.0000
8 Au 0.5000 0.0000 0.0000

***

# 2
This entry pairs a crystal structure of CsPAuSeS2 with its calculated powder XRD pattern. Radiation: Cu Ka. Structure: a cell relaxed with PBE.

Peak list (10 most intense, 2θ = 10–80°, in order of rising 2θ)
11.73 deg, I 38; 21.56 deg, I 43; 23.19 deg, I 52; 26.76 deg, I 32; 27.57 deg, I 55; 28.11 deg, I 100; 28.55 deg, I 68; 29.21 deg, I 32; 33.87 deg, I 49; 48.81 deg, I 34

Structural model:
a = 7.4766 Å, b = 7.4766 Å, c = 8.0064 Å
α = 106.90°, β = 106.90°, γ = 59.57°
Atoms (fractional coordinates):
1 Cs 0.2033 0.2033 0.2143
2 Cs 0.7967 0.7967 0.7857
3 P 0.4713 0.4713 0.8486
4 P 0.5287 0.5287 0.1514
5 Au 0.2704 0.7296 0.5000
6 Au 0.7296 0.2704 0.5000
7 Se 0.2954 0.2954 0.7370
8 Se 0.7046 0.7046 0.2630
9 S 0.2181 0.6835 0.1938
10 S 0.3165 0.7819 0.8062
11 S 0.6835 0.2181 0.1938
12 S 0.7819 0.3165 0.8062

***

# 3
This entry pairs a crystal structure of CsPbAu3S4 with its calculated powder XRD pattern. Radiation: Cu Ka. Structure: a cell relaxed with PBE.

Peak list (10 most intense, 2θ = 10–80°, in order of rising 2θ)
13.47 deg, I 52; 23.43 deg, I 64; 27.12 deg, I 75; 30.40 deg, I 22; 38.73 deg, I 100; 45.76 deg, I 33; 47.92 deg, I 24; 55.93 deg, I 17; 63.24 deg, I 33; 70.11 deg, I 33

Structural model:
a = 6.5757 Å, b = 6.5757 Å, c = 6.5757 Å
α = 90.00°, β = 90.00°, γ = 90.00°
Atoms (fractional coordinates):
1 Cs 0.0000 0.0000 0.0000
2 Pb 0.5000 0.5000 0.5000
3 Au 0.0000 0.5000 0.5000
4 Au 0.5000 0.0000 0.5000
5 Au 0.5000 0.5000 0.0000
6 S 0.2824 0.2824 0.2824
7 S 0.2824 0.7176 0.7176
8 S 0.7176 0.2824 0.7176
9 S 0.7176 0.7176 0.2824

***

# 4
This entry pairs a crystal structure of CsPdAu3S4 with its calculated powder XRD pattern. Radiation: Cu Ka. Structure: a cell relaxed with PBE.

Peak list (10 most intense, 2θ = 10–80°, in order of rising 2θ)
14.05 deg, I 30; 24.47 deg, I 100; 28.33 deg, I 67; 40.49 deg, I 91; 47.88 deg, I 51; 50.15 deg, I 21; 64.46 deg, I 20; 66.34 deg, I 29; 73.65 deg, I 29; 78.95 deg, I 16

Structural model:
a = 6.3012 Å, b = 6.3012 Å, c = 6.3012 Å
α = 90.00°, β = 90.00°, γ = 90.00°
Atoms (fractional coordinates):
1 Cs 0.0000 0.0000 0.0000
2 Pd 0.5000 0.5000 0.5000
3 Au 0.0000 0.5000 0.5000
4 Au 0.5000 0.0000 0.5000
5 Au 0.5000 0.5000 0.0000
6 S 0.2871 0.2871 0.2871
7 S 0.2871 0.7129 0.7129
8 S 0.7129 0.2871 0.7129
9 S 0.7129 0.7129 0.2871

***

# 5
This entry pairs a crystal structure of CsTePtAuS2 with its calculated powder XRD pattern. Radiation: Cu Ka. Structure: a cell relaxed with PBE.

Peak list (10 most intense, 2θ = 10–80°, in order of rising 2θ)
10.02 deg, I 96; 19.19 deg, I 19; 28.79 deg, I 24; 29.96 deg, I 100; 32.99 deg, I 39; 34.67 deg, I 36; 35.37 deg, I 20; 38.22 deg, I 34; 44.34 deg, I 17; 51.36 deg, I 22

Structural model:
a = 9.0160 Å, b = 9.0160 Å, c = 10.8614 Å
α = 90.00°, β = 90.00°, γ = 156.66°
Atoms (fractional coordinates):
1 Cs 0.2395 0.7605 0.7500
2 Cs 0.7605 0.2395 0.2500
3 Te 0.4455 0.5545 0.2500
4 Te 0.5545 0.4455 0.7500
5 Pt 0.5000 0.5000 0.0000
6 Pt 0.5000 0.5000 0.5000
7 Au 0.0913 0.9087 0.2500
8 Au 0.9087 0.0913 0.7500
9 S 0.0878 0.9122 0.0331
10 S 0.0878 0.9122 0.4669
11 S 0.9122 0.0878 0.5331
12 S 0.9122 0.0878 0.9669

***

# 6
This entry pairs a crystal structure of CsRbAu3 with its calculated powder XRD pattern. Radiation: Cu Ka. Structure: a cell relaxed with PBE.

Peak list (10 most intense, 2θ = 10–80°, in order of rising 2θ)
16.58 deg, I 72; 29.07 deg, I 63; 29.72 deg, I 30; 30.67 deg, I 28; 33.51 deg, I 33; 35.46 deg, I 44; 37.72 deg, I 100; 44.93 deg, I 24; 49.59 deg, I 23; 57.20 deg, I 46

Structural model:
a = 5.0630 Å, b = 5.5893 Å, c = 10.6965 Å
α = 90.00°, β = 90.00°, γ = 90.00°
Atoms (fractional coordinates):
1 Cs 0.0000 0.0000 0.0000
2 Cs 0.5000 0.5000 0.5000
3 Rb 0.0000 0.0000 0.3940
4 Rb 0.5000 0.5000 0.8940
5 Au 0.0000 0.2525 0.7005
6 Au 0.0000 0.5000 0.2006
7 Au 0.0000 0.7475 0.7005
8 Au 0.5000 0.0000 0.7006
9 Au 0.5000 0.2475 0.2005
10 Au 0.5000 0.7525 0.2005

***

# 7
This entry pairs a crystal structure of CsRbSbAu with its calculated powder XRD pattern. Radiation: Cu Ka. Structure: a cell relaxed with PBE.

Peak list (10 most intense, 2θ = 10–80°, in order of rising 2θ)
13.44 deg, I 62; 15.68 deg, I 46; 25.40 deg, I 34; 26.08 deg, I 65; 28.89 deg, I 67; 29.08 deg, I 100; 33.84 deg, I 64; 34.09 deg, I 32; 37.49 deg, I 37; 48.96 deg, I 42

Structural model:
a = 6.9970 Å, b = 11.3029 Å, c = 8.1118 Å
α = 90.00°, β = 90.00°, γ = 90.00°
Atoms (fractional coordinates):
1 Cs 0.0000 0.1696 0.0000
2 Cs 0.0000 0.3304 0.5000
3 Cs 0.0000 0.6696 0.5000
4 Cs 0.0000 0.8304 0.0000
5 Rb 0.5000 0.1684 0.6676
6 Rb 0.5000 0.3316 0.1676
7 Rb 0.5000 0.6684 0.1676
8 Rb 0.5000 0.8316 0.6676
9 Sb 0.0000 0.0000 0.5871
10 Sb 0.0000 0.5000 0.0871
11 Sb 0.5000 0.0000 0.0856
12 Sb 0.5000 0.5000 0.5856
13 Au 0.2516 0.0000 0.3376
14 Au 0.2516 0.5000 0.8376
15 Au 0.7484 0.0000 0.3376
16 Au 0.7484 0.5000 0.8376

***

# 8
This entry pairs a crystal structure of Cs3Rb2Sb2Au with its calculated powder XRD pattern. Radiation: Cu Ka. Structure: a cell relaxed with PBE.

Peak list (10 most intense, 2θ = 10–80°, in order of rising 2θ)
17.09 deg, I 17; 26.33 deg, I 31; 27.93 deg, I 100; 28.79 deg, I 21; 34.03 deg, I 12; 38.76 deg, I 11; 45.44 deg, I 14; 48.45 deg, I 11; 49.42 deg, I 20; 57.73 deg, I 13

Structural model:
a = 10.6459 Å, b = 10.6459 Å, c = 10.6459 Å
α = 34.92°, β = 34.92°, γ = 34.92°
Atoms (fractional coordinates):
1 Cs 0.0000 0.0000 0.0000
2 Cs 0.1364 0.1364 0.1364
3 Cs 0.8636 0.8636 0.8636
4 Rb 0.2839 0.2839 0.2839
5 Rb 0.7161 0.7161 0.7161
6 Sb 0.4098 0.4098 0.4098
7 Sb 0.5902 0.5902 0.5902
8 Au 0.5000 0.5000 0.5000

***

# 9
This entry pairs a crystal structure of CsRbTlAu3 with its calculated powder XRD pattern. Radiation: Cu Ka. Structure: a cell relaxed with PBE.

Peak list (10 most intense, 2θ = 10–80°, in order of rising 2θ)
16.03 deg, I 62; 18.01 deg, I 76; 27.81 deg, I 100; 30.75 deg, I 41; 31.71 deg, I 92; 32.38 deg, I 72; 36.48 deg, I 27; 38.83 deg, I 38; 41.81 deg, I 47; 57.45 deg, I 33

Structural model:
a = 5.8148 Å, b = 6.8888 Å, c = 9.2725 Å
α = 90.00°, β = 90.00°, γ = 90.00°
Atoms (fractional coordinates):
1 Cs 0.2500 0.0000 0.1293
2 Cs 0.7500 0.0000 0.8707
3 Rb 0.2500 0.5000 0.3680
4 Rb 0.7500 0.5000 0.6320
5 Tl 0.2500 0.5000 0.9259
6 Tl 0.7500 0.5000 0.0741
7 Au 0.0000 0.0000 0.5000
8 Au 0.2500 0.2130 0.7106
9 Au 0.2500 0.7870 0.7106
10 Au 0.5000 0.0000 0.5000
11 Au 0.7500 0.2130 0.2894
12 Au 0.7500 0.7870 0.2894

***

# 10
This entry pairs a crystal structure of CsReAu3S4 with its calculated powder XRD pattern. Radiation: Cu Ka. Structure: a cell relaxed with PBE.

Peak list (10 most intense, 2θ = 10–80°, in order of rising 2θ)
13.85 deg, I 55; 24.11 deg, I 74; 27.91 deg, I 81; 31.29 deg, I 18; 39.89 deg, I 100; 47.15 deg, I 38; 49.38 deg, I 25; 57.68 deg, I 16; 65.27 deg, I 36; 72.42 deg, I 32

Structural model:
a = 6.3929 Å, b = 6.3929 Å, c = 6.3929 Å
α = 90.00°, β = 90.00°, γ = 90.00°
Atoms (fractional coordinates):
1 Cs 0.0000 0.0000 0.0000
2 Re 0.5000 0.5000 0.5000
3 Au 0.0000 0.5000 0.5000
4 Au 0.5000 0.0000 0.5000
5 Au 0.5000 0.5000 0.0000
6 S 0.2959 0.2959 0.2959
7 S 0.2959 0.7041 0.7041
8 S 0.7041 0.2959 0.7041
9 S 0.7041 0.7041 0.2959

***

# 11
This entry pairs a crystal structure of CsAu3S5 with its calculated powder XRD pattern. Radiation: Cu Ka. Structure: a cell relaxed with PBE.

Peak list (10 most intense, 2θ = 10–80°, in order of rising 2θ)
13.06 deg, I 100; 20.50 deg, I 76; 26.29 deg, I 30; 30.49 deg, I 24; 31.77 deg, I 68; 34.49 deg, I 55; 41.69 deg, I 91; 44.61 deg, I 21; 51.87 deg, I 20; 56.61 deg, I 22

Structural model:
a = 6.5037 Å, b = 6.5037 Å, c = 6.7803 Å
α = 90.00°, β = 90.00°, γ = 120.00°
Atoms (fractional coordinates):
1 Cs 0.0000 0.0000 0.0000
2 Au 0.0000 0.5000 0.5000
3 Au 0.5000 0.0000 0.5000
4 Au 0.5000 0.5000 0.5000
5 S 0.0000 0.0000 0.5000
6 S 0.3333 0.6667 0.2717
7 S 0.3333 0.6667 0.7283
8 S 0.6667 0.3333 0.2717
9 S 0.6667 0.3333 0.7283

***

# 12
This entry pairs a crystal structure of CsSnAu3S4 with its calculated powder XRD pattern. Radiation: Cu Ka. Structure: a cell relaxed with PBE.

Peak list (10 most intense, 2θ = 10–80°, in order of rising 2θ)
13.96 deg, I 100; 14.51 deg, I 46; 17.73 deg, I 31; 19.23 deg, I 42; 24.28 deg, I 52; 30.49 deg, I 54; 31.33 deg, I 25; 33.01 deg, I 36; 33.69 deg, I 55; 47.60 deg, I 30

Structural model:
a = 6.1829 Å, b = 7.7816 Å, c = 11.0898 Å
α = 90.00°, β = 99.16°, γ = 90.00°
Atoms (fractional coordinates):
1 Cs 0.2069 0.2500 0.3553
2 Cs 0.7931 0.7500 0.6447
3 Sn 0.0931 0.2500 0.7844
4 Sn 0.9069 0.7500 0.2156
5 Au 0.3657 0.5631 0.0877
6 Au 0.3657 0.9369 0.0877
7 Au 0.4683 0.7500 0.3275
8 Au 0.5317 0.2500 0.6725
9 Au 0.6343 0.0631 0.9123
10 Au 0.6343 0.4369 0.9123
11 S 0.0595 0.7500 0.0190
12 S 0.1436 0.7500 0.4123
13 S 0.3186 0.5096 0.7713
14 S 0.3186 0.9904 0.7713
15 S 0.6814 0.0096 0.2287
16 S 0.6814 0.4904 0.2287
17 S 0.8564 0.2500 0.5877
18 S 0.9405 0.2500 0.9810